[1]
# Ba4AgAu3
Computed X-ray powder pattern, a wavelength of 1.5418 Å. Input: a cell relaxed with GGA-PBE.
Peak positions follow from Bragg's law for the DFT cell and can differ from measured ones.

Structural model:
```
8
Lattice="4.536 0.000 0.000 0.000 5.055 0.000 0.000 0.000 12.318" Properties=species:S:1:pos:R:3 pbc="T T T"
Ba 0.000 0.000 0.000
Ba 0.000 2.528 3.280
Ba 2.268 0.000 6.044
Ba 2.268 2.528 9.471
Ag 0.000 0.000 8.646
Au 0.000 2.528 6.868
Au 2.268 0.000 2.594
Au 2.268 2.528 0.643
```

Largest 10 diffraction maxima, most intense first, 2θ from 15° to 90°:
2θ = 34.4°, I 1000
2θ = 27.4°, I 983
2θ = 35.5°, I 359
2θ = 34.1°, I 344
2θ = 39.7°, I 263
2θ = 29.3°, I 228
2θ = 29.0°, I 226
2θ = 63.1°, I 220
2θ = 54.3°, I 211
2θ = 68.1°, I 198



[2]
# Pm2PtO4
Computed X-ray powder pattern, a wavelength of 1.5418 Å. Input: a cell relaxed with GGA-PBE.
Peak positions follow from Bragg's law for the DFT cell and can differ from measured ones.

Structural model:
```
14
Lattice="6.385 -2.837 0.000 6.385 2.837 0.000 0.000 0.000 5.671" Properties=species:S:1:pos:R:3 pbc="T T T"
Pm 2.020 0.000 0.000
Pm 4.365 0.000 2.836
Pm 8.405 0.000 2.836
Pm 10.750 0.000 0.000
Pt 0.000 0.000 2.836
Pt 6.385 0.000 0.000
O 3.192 1.369 4.253
O 6.385 1.819 4.654
O 6.385 1.018 1.819
O 3.192 -1.369 1.418
O 9.577 1.369 4.253
O 6.385 -1.018 3.852
O 6.385 -1.819 1.017
O 9.577 -1.369 1.418
```

Largest 10 diffraction maxima, most intense first, 2θ from 15° to 90°:
2θ = 30.6°, I 1000
2θ = 55.6°, I 405
2θ = 31.5°, I 378
2θ = 45.2°, I 213
2θ = 53.9°, I 212
2θ = 63.8°, I 114
2θ = 87.7°, I 101
2θ = 42.5°, I 101
2θ = 70.4°, I 83
2θ = 74.9°, I 75



[3]
# MgRh4Au2
Computed X-ray powder pattern, a wavelength of 1.5418 Å. Input: a cell relaxed with GGA-PBE.
Peak positions follow from Bragg's law for the DFT cell and can differ from measured ones.

Structural model:
```
7
Lattice="-2.255 2.255 6.617 2.255 -2.255 6.617 2.255 2.255 -6.617" Properties=species:S:1:pos:R:3 pbc="T T T"
Mg 0.000 0.000 0.000
Rh 2.255 0.000 0.000
Rh 0.000 0.000 2.424
Rh 0.000 2.255 0.000
Rh 0.000 0.000 10.810
Au 0.000 0.000 5.037
Au 0.000 0.000 8.197
```

Largest 10 diffraction maxima, most intense first, 2θ from 15° to 90°:
2θ = 39.2°, I 1000
2θ = 40.0°, I 935
2θ = 39.5°, I 774
2θ = 28.0°, I 599
2θ = 57.4°, I 517
2θ = 31.1°, I 465
2θ = 20.8°, I 410
2θ = 72.1°, I 337
2θ = 57.8°, I 315
2θ = 86.0°, I 170



[4]
# TlH2S
Computed X-ray powder pattern, a wavelength of 1.5418 Å. Input: a cell relaxed with GGA-PBE.
Peak positions follow from Bragg's law for the DFT cell and can differ from measured ones.

Structural model:
```
16
Lattice="5.032 0.000 0.000 0.000 3.892 0.000 -1.387 0.000 21.499" Properties=species:S:1:pos:R:3 pbc="T T T"
Tl 0.913 0.557 5.254
Tl 0.219 1.388 16.004
Tl 3.425 2.503 5.495
Tl 2.732 3.334 16.245
H -0.112 2.867 1.786
H -0.806 2.971 12.536
H 0.929 2.143 8.862
H 0.235 3.695 19.611
H 3.409 0.197 1.888
H 2.715 1.749 12.637
H 4.450 0.921 8.963
H 3.757 1.025 19.713
S 0.683 0.942 9.438
S -0.011 1.004 20.188
S 3.655 2.888 1.311
S 2.961 2.949 12.061
```

Largest 10 diffraction maxima, most intense first, 2θ from 15° to 90°:
2θ = 16.5°, I 1000
2θ = 24.8°, I 492
2θ = 29.0°, I 488
2θ = 33.0°, I 238
2θ = 34.2°, I 216
2θ = 29.9°, I 216
2θ = 35.8°, I 211
2θ = 37.8°, I 208
2θ = 30.5°, I 207
2θ = 29.2°, I 203



[5]
# Li3VAu12
Computed X-ray powder pattern, a wavelength of 1.5418 Å. Input: a cell relaxed with GGA-PBE.
Peak positions follow from Bragg's law for the DFT cell and can differ from measured ones.

Structural model:
```
16
Lattice="4.085 0.000 0.000 0.000 4.085 0.000 0.000 0.000 16.333" Properties=species:S:1:pos:R:3 pbc="T T T"
Li 0.000 0.000 0.000
Li 0.000 0.000 4.029
Li 0.000 0.000 12.304
V 0.000 0.000 8.166
Au 0.000 2.043 2.025
Au 0.000 2.043 6.099
Au 0.000 2.043 10.234
Au 0.000 2.043 14.308
Au 2.043 0.000 2.025
Au 2.043 0.000 6.099
Au 2.043 0.000 10.234
Au 2.043 0.000 14.308
Au 2.043 2.043 0.000
Au 2.043 2.043 4.059
Au 2.043 2.043 8.166
Au 2.043 2.043 12.274
```

Largest 10 diffraction maxima, most intense first, 2θ from 15° to 90°:
2θ = 38.2°, I 1000
2θ = 44.4°, I 493
2θ = 77.5°, I 393
2θ = 64.5°, I 327
2θ = 21.8°, I 268
2θ = 31.0°, I 230
2θ = 49.9°, I 125
2θ = 81.7°, I 116
2θ = 55.1°, I 94
2θ = 69.0°, I 61



[6]
# PaTi2N4
Computed X-ray powder pattern, a wavelength of 1.5418 Å. Input: a cell relaxed with GGA-PBE.
Peak positions follow from Bragg's law for the DFT cell and can differ from measured ones.

Structural model:
```
14
Lattice="1.562 -4.960 0.000 1.562 4.960 0.000 0.000 0.000 10.156" Properties=species:S:1:pos:R:3 pbc="T T T"
Pa 1.562 3.829 7.617
Pa 1.562 -3.829 2.539
Ti 1.562 1.287 5.690
Ti 1.562 1.287 9.543
Ti 1.562 -1.287 0.612
Ti 1.562 -1.287 4.465
N 0.000 0.000 0.000
N 0.000 0.000 5.078
N 1.562 2.264 1.170
N 1.562 2.264 3.908
N 1.562 0.530 7.617
N 1.562 -0.530 2.539
N 1.562 -2.264 6.248
N 1.562 -2.264 8.986
```

Largest 10 diffraction maxima, most intense first, 2θ from 15° to 90°:
2θ = 19.9°, I 1000
2θ = 32.0°, I 829
2θ = 40.7°, I 563
2θ = 34.9°, I 555
2θ = 31.3°, I 517
2θ = 17.5°, I 443
2θ = 43.7°, I 312
2θ = 36.2°, I 254
2θ = 58.0°, I 227
2θ = 54.7°, I 214



[7]
# Pd7PbAu3
Computed X-ray powder pattern, a wavelength of 1.5418 Å. Input: a cell relaxed with GGA-PBE.
Peak positions follow from Bragg's law for the DFT cell and can differ from measured ones.

Structural model:
```
11
Lattice="4.601 -4.740 0.000 4.601 4.740 0.000 -2.210 0.000 4.696" Properties=species:S:1:pos:R:3 pbc="T T T"
Pd 0.000 0.000 0.000
Pd 2.292 2.300 1.536
Pd 0.564 0.000 4.469
Pd 4.700 2.300 3.160
Pd 2.292 -2.300 1.536
Pd 6.428 0.000 0.227
Pd 4.700 -2.300 3.160
Pb -1.105 0.000 2.348
Au 4.601 2.039 0.000
Au 3.496 0.000 2.348
Au 4.601 -2.039 0.000
```

Largest 10 diffraction maxima, most intense first, 2θ from 15° to 90°:
2θ = 39.4°, I 1000
2θ = 38.0°, I 633
2θ = 35.0°, I 620
2θ = 28.8°, I 472
2θ = 43.7°, I 455
2θ = 38.3°, I 315
2θ = 52.6°, I 301
2θ = 21.3°, I 293
2θ = 43.4°, I 252
2θ = 41.4°, I 161



[8]
# NaLaHo
Computed X-ray powder pattern, a wavelength of 1.5418 Å. Input: a cell relaxed with GGA-PBE.
Peak positions follow from Bragg's law for the DFT cell and can differ from measured ones.

Structural model:
```
6
Lattice="1.760 1.016 19.274 -1.760 1.016 19.274 0.000 -2.032 19.274" Properties=species:S:1:pos:R:3 pbc="T T T"
Na 0.000 0.000 7.993
Na 0.000 0.000 49.829
La 0.000 0.000 14.535
La 0.000 0.000 43.287
Ho 0.000 0.000 17.919
Ho 0.000 0.000 39.903
```

Largest 10 diffraction maxima, most intense first, 2θ from 15° to 90°:
2θ = 29.5°, I 1000
2θ = 38.6°, I 640
2θ = 27.8°, I 530
2θ = 30.3°, I 396
2θ = 59.9°, I 361
2θ = 36.6°, I 330
2θ = 52.0°, I 319
2θ = 34.0°, I 224
2θ = 30.0°, I 218
2θ = 35.7°, I 205